# NaSrVF6
Calculated powder X-ray diffraction pattern, CuKα. Input: the GGA+U geometry in Alexandria.
Kinematic intensities with the Lorentz-polarization factor, no thermal factor.

Main lines, in order of falling intensity (5° ≤ 2θ ≤ 70°):
| two_theta | I (rel.) | hkl |
| --- | --- | --- |
| 25.23 | 100 | 1 1 2 |
| 26.10 | 86 | 1 2 1 |
| 46.97 | 82 | 2 3 2 |
| 20.49 | 69 | 1 1 1 |
| 24.67 | 59 | 1 2 0 |
| 31.66 | 32 | 1 1 3 |

Crystal structure
```
data_NaSrVF6
_cell_length_a 5.472
_cell_length_b 9.602
_cell_length_c 10.543
_cell_angle_alpha 90.00
_cell_angle_beta 90.00
_cell_angle_gamma 90.00
_symmetry_space_group_name_H-M 'P 1'
_symmetry_Int_Tables_number 1
loop_
_symmetry_equiv_pos_as_xyz
'x,y,z'
loop_
_atom_site_label
_atom_site_type_symbol
_atom_site_fract_x
_atom_site_fract_y
_atom_site_fract_z
Na1 Na 0.040 0.152 0.086
Na2 Na 0.460 0.848 0.586
Na3 Na 0.540 0.348 0.914
Na4 Na 0.960 0.652 0.414
Sr1 Sr 0.010 0.683 0.831
Sr2 Sr 0.490 0.317 0.331
Sr3 Sr 0.510 0.817 0.169
Sr4 Sr 0.990 0.183 0.669
V1 V 0.031 0.498 0.128
V2 V 0.469 0.502 0.628
V3 V 0.531 0.002 0.872
V4 V 0.969 0.998 0.372
F1 F 0.145 0.992 0.534
F2 F 0.172 0.838 0.315
F3 F 0.206 0.511 0.291
F4 F 0.212 0.127 0.299
F5 F 0.217 0.643 0.584
F6 F 0.218 0.658 0.053
F7 F 0.282 0.342 0.553
F8 F 0.283 0.357 0.084
F9 F 0.288 0.873 0.799
F10 F 0.294 0.489 0.791
F11 F 0.328 0.162 0.815
F12 F 0.355 0.008 0.034
F13 F 0.645 0.508 0.466
F14 F 0.672 0.662 0.685
F15 F 0.706 0.989 0.709
F16 F 0.712 0.373 0.701
F17 F 0.717 0.857 0.416
F18 F 0.718 0.842 0.947
F19 F 0.782 0.158 0.447
F20 F 0.783 0.143 0.916
F21 F 0.788 0.627 0.201
F22 F 0.794 0.011 0.209
F23 F 0.828 0.338 0.185
F24 F 0.855 0.492 0.966
```